Record 1
Simulated PXRD pattern of LaScCu2As4 for copper Kα, from a DFT-relaxed cell (GGA-PBE, OQMD).
Kinematic intensities with the Lorentz-polarization factor, no thermal factor.

Atomic structure:
```
data_LaScCu2As4
_symmetry_space_group_name_H-M 'P 4 m m'
_symmetry_Int_Tables_number 99
_symmetry_space_group_name_Hall 'P 4 -2'
_cell_length_a 3.9171
_cell_length_b 3.9171
_cell_length_c 9.9371
_cell_angle_alpha 90.00
_cell_angle_beta 90.00
_cell_angle_gamma 90.00
loop_
_atom_site_label
_atom_site_type_symbol
_atom_site_fract_x
_atom_site_fract_y
_atom_site_fract_z
La1 La 0.0000 0.0000 0.0000
Sc1 Sc 0.5000 0.5000 0.5271
Cu1 Cu 0.0000 0.5000 0.2803
As1 As 0.0000 0.0000 0.4386
As2 As 0.0000 0.5000 0.7461
As3 As 0.5000 0.5000 0.1237
```

Top 6 peaks for 2θ from 10° to 90°, by intensity:
index, two_theta, Rel. int.
1 1 2, 37.2, 100
2 0 0, 46.4, 38
1 0 2, 29.0, 31
3 1 2, 79.8, 20
1 0 3, 35.5, 17
1 0 5, 51.6, 12

***

Record 2
Simulated PXRD pattern of LiCu4As2 for copper Kα, from a DFT-relaxed cell (GGA-PBE, OQMD).
Kinematic intensities with the Lorentz-polarization factor, no thermal factor.

Atomic structure:
```
data_LiCu4As2
_symmetry_space_group_name_H-M 'R -3 m'
_symmetry_Int_Tables_number 166
_symmetry_space_group_name_Hall '-R 3 2"'
_cell_length_a 4.1017
_cell_length_b 4.1017
_cell_length_c 21.5018
_cell_angle_alpha 90.00
_cell_angle_beta 90.00
_cell_angle_gamma 120.00
loop_
_atom_site_label
_atom_site_type_symbol
_atom_site_fract_x
_atom_site_fract_y
_atom_site_fract_z
Li1 Li 0.0000 0.0000 0.0000
Cu1 Cu 0.0000 0.0000 0.1418
Cu2 Cu 0.0000 0.0000 0.4349
As1 As 0.0000 0.0000 0.2584
```

Top 6 peaks for 2θ from 10° to 90°, by intensity:
index, two_theta, Rel. int.
1 1 0, 44.2, 100
1 0 7, 38.8, 85
0 0 3, 12.3, 81
1 0 10, 49.6, 40
0 0 6, 24.8, 23
0 2 7, 60.2, 22

***

Record 3
Simulated PXRD pattern of Li2NdCuAs2 for copper Kα, from a DFT-relaxed cell (GGA-PBE, OQMD).
Kinematic intensities with the Lorentz-polarization factor, no thermal factor.

Atomic structure:
```
data_Li2NdCuAs2
_symmetry_space_group_name_H-M 'P -3 m 1'
_symmetry_Int_Tables_number 164
_symmetry_space_group_name_Hall '-P 3 2"'
_cell_length_a 4.2421
_cell_length_b 4.2421
_cell_length_c 6.7652
_cell_angle_alpha 90.00
_cell_angle_beta 90.00
_cell_angle_gamma 120.00
loop_
_atom_site_label
_atom_site_type_symbol
_atom_site_fract_x
_atom_site_fract_y
_atom_site_fract_z
Li1 Li 0.3333 0.6667 0.1422
Nd1 Nd 0.0000 0.0000 0.5000
Cu1 Cu 0.0000 0.0000 0.0000
As1 As 0.3333 0.6667 0.7616
```

Top 6 peaks for 2θ from 10° to 90°, by intensity:
index, two_theta, Rel. int.
1 0 2, 36.1, 100
0 1 1, 27.6, 55
1 1 0, 42.6, 53
1 0 0, 24.2, 28
0 2 2, 57.1, 26
2 1 2, 73.8, 24

***

Record 4
Simulated PXRD pattern of NdLuCu2As4 for copper Kα, from a DFT-relaxed cell (GGA-PBE, OQMD).
Kinematic intensities with the Lorentz-polarization factor, no thermal factor.

Atomic structure:
```
data_NdLuCu2As4
_symmetry_space_group_name_H-M 'P 4 m m'
_symmetry_Int_Tables_number 99
_symmetry_space_group_name_Hall 'P 4 -2'
_cell_length_a 3.9294
_cell_length_b 3.9294
_cell_length_c 9.9325
_cell_angle_alpha 90.00
_cell_angle_beta 90.00
_cell_angle_gamma 90.00
loop_
_atom_site_label
_atom_site_type_symbol
_atom_site_fract_x
_atom_site_fract_y
_atom_site_fract_z
Nd1 Nd 0.0000 0.0000 0.0000
Lu1 Lu 0.5000 0.5000 0.5257
Cu1 Cu 0.0000 0.5000 0.2729
As1 As 0.0000 0.0000 0.4316
As2 As 0.0000 0.5000 0.7541
As3 As 0.5000 0.5000 0.1154
```

Top 6 peaks for 2θ from 10° to 90°, by intensity:
index, two_theta, Rel. int.
1 1 2, 37.1, 100
2 0 0, 46.2, 35
1 0 3, 35.5, 28
1 0 1, 24.4, 23
3 1 2, 79.5, 22
1 0 5, 51.6, 17

***

Record 5
Simulated PXRD pattern of MgCu2As for copper Kα, from a DFT-relaxed cell (GGA-PBE, OQMD).
Kinematic intensities with the Lorentz-polarization factor, no thermal factor.

Atomic structure:
```
data_MgCu2As
_symmetry_space_group_name_H-M 'P m -3 m'
_symmetry_Int_Tables_number 221
_symmetry_space_group_name_Hall '-P 4 2 3'
_cell_length_a 6.2459
_cell_length_b 6.2459
_cell_length_c 6.2459
_cell_angle_alpha 90.00
_cell_angle_beta 90.00
_cell_angle_gamma 90.00
loop_
_atom_site_label
_atom_site_type_symbol
_atom_site_fract_x
_atom_site_fract_y
_atom_site_fract_z
Mg1 Mg 0.0000 0.0000 0.0000
Mg2 Mg 0.0000 0.0000 0.5000
Cu1 Cu 0.2530 0.2530 0.2530
As1 As 0.0000 0.5000 0.5000
As2 As 0.5000 0.5000 0.5000
```

Top 6 peaks for 2θ from 10° to 90°, by intensity:
index, two_theta, Rel. int.
2 2 0, 40.9, 100
4 2 2, 74.4, 31
4 0 0, 59.2, 16
4 4 0, 88.6, 10
1 0 0, 14.2, 9
2 1 0, 32.0, 4

***

Record 6
Simulated PXRD pattern of MgCuAsPt for copper Kα, from a DFT-relaxed cell (GGA-PBE, OQMD).
Kinematic intensities with the Lorentz-polarization factor, no thermal factor.

Atomic structure:
```
data_MgCuAsPt
_symmetry_space_group_name_H-M 'F -4 3 m'
_symmetry_Int_Tables_number 216
_symmetry_space_group_name_Hall 'F -4 2 3'
_cell_length_a 6.3253
_cell_length_b 6.3253
_cell_length_c 6.3253
_cell_angle_alpha 90.00
_cell_angle_beta 90.00
_cell_angle_gamma 90.00
loop_
_atom_site_label
_atom_site_type_symbol
_atom_site_fract_x
_atom_site_fract_y
_atom_site_fract_z
Mg1 Mg 0.0000 0.0000 0.0000
Cu1 Cu 0.0000 0.0000 0.5000
As1 As 0.2500 0.2500 0.2500
Pt1 Pt 0.2500 0.2500 0.7500
```

Top 6 peaks for 2θ from 10° to 90°, by intensity:
index, two_theta, Rel. int.
2 2 0, 40.3, 100
4 2 2, 73.3, 34
2 0 0, 28.2, 29
1 1 1, 24.4, 27
4 0 0, 58.4, 17
3 1 1, 47.7, 14